# TlBr2Cl
Calculated powder X-ray diffraction pattern, copper Kα. Input: the PBE geometry in Alexandria.
Kinematic intensities with the Lorentz-polarization factor, no thermal factor.

Peak list (10 most intense, 5° ≤ 2θ ≤ 70°, by angle)
| Position (°2θ) | intensity | h k l |
| --- | --- | --- |
| 14.14 | 58 | 0 0 1 |
| 14.67 | 100 | 1 0 0 |
| 16.00 | 79 | 1 0 -1 |
| 24.08 | 43 | 1 0 1 |
| 27.29 | 30 | 0 1 1 |
| 28.33 | 86 | 1 1 -1 |
| 36.23 | 25 | 2 1 -1 |
| 37.07 | 33 | 0 1 2 |
| 40.17 | 38 | 2 1 -2 |
| 44.20 | 27 | 1 1 2 |

Cell and atoms:
```
TlBr2Cl
1.0
6.5413 0.0000 0.0000
0.0000 3.8303 0.0000
-2.6100 0.0000 6.2651
Tl Br Cl
1 2 1
direct
0.0000 0.0000 0.0000
0.0504 0.5000 0.7240
0.3419 0.0000 0.3488
0.7394 0.5000 0.0517
```